1.
Structure and simulated powder diffractogram of La5TeAs4 (the PBE geometry in Alexandria; Cu Kα (λ = 1.5418 Å)).
Kinematic intensities with the Lorentz-polarization factor, no thermal factor.

Principal peaks in the range 10° ≤ 2θ ≤ 80°, sorted by position:
2θ 28.6, I = 100.0; 2θ 40.8, I = 62.0; 2θ 41.0, I = 12.7; 2θ 50.5, I = 12.6; 2θ 50.7, I = 13.6; 2θ 59.2, I = 7.8; 2θ 66.9, I = 16.3; 2θ 67.0, I = 10.7; 2θ 74.2, I = 11.1; 2θ 74.6, I = 8.4

Structure:
a = 11.7152 Å, b = 11.7152 Å, c = 11.7152 Å
α = 158.35°, β = 149.03°, γ = 38.10°
Fractional positions:
La 0.0000 0.0000 0.0000
La 0.1991 0.1991 0.0000
La 0.3906 0.3906 0.0000
La 0.6094 0.6094 0.0000
La 0.8009 0.8009 0.0000
Te 0.5000 0.0000 0.5000
As 0.0993 0.5993 0.5000
As 0.2977 0.7977 0.5000
As 0.7023 0.2023 0.5000
As 0.9007 0.4007 0.5000

=====

2.
Structure and simulated powder diffractogram of La4TeAs3 (the PBE geometry in Alexandria; Cu Kα (λ = 1.5418 Å)).
Kinematic intensities with the Lorentz-polarization factor, no thermal factor.

Principal peaks in the range 10° ≤ 2θ ≤ 80°, sorted by position:
2θ 28.5, I = 100.0; 2θ 40.6, I = 12.1; 2θ 40.7, I = 50.4; 2θ 41.0, I = 12.6; 2θ 50.4, I = 13.0; 2θ 50.6, I = 13.6; 2θ 66.7, I = 16.7; 2θ 66.8, I = 11.0; 2θ 74.0, I = 11.6; 2θ 74.4, I = 8.4

Structure:
a = 4.4074 Å, b = 6.2710 Å, c = 8.8824 Å
α = 90.00°, β = 90.00°, γ = 90.00°
Fractional positions:
La 0.0000 0.0000 0.0000
La 0.0000 0.0000 0.5000
La 0.5000 0.5000 0.2322
La 0.5000 0.5000 0.7678
Te 0.0000 0.5000 0.5000
As 0.0000 0.5000 0.0000
As 0.5000 0.0000 0.2509
As 0.5000 0.0000 0.7491

=====

3.
Structure and simulated powder diffractogram of LaTh3As4 (the PBE geometry in Alexandria; Cu Kα (λ = 1.5418 Å)).
Kinematic intensities with the Lorentz-polarization factor, no thermal factor.

Principal peaks in the range 10° ≤ 2θ ≤ 80°, sorted by position:
2θ 25.5, I = 37.1; 2θ 29.5, I = 100.0; 2θ 42.1, I = 12.8; 2θ 42.3, I = 63.6; 2θ 49.9, I = 9.7; 2θ 52.3, I = 13.7; 2θ 52.5, I = 13.6; 2θ 61.3, I = 12.8; 2θ 69.5, I = 23.6; 2θ 77.4, I = 13.2

Structure:
a = 7.4142 Å, b = 7.4142 Å, c = 4.2702 Å
α = 90.00°, β = 90.00°, γ = 109.31°
Fractional positions:
La 0.0000 0.0000 0.0000
Th 0.0000 0.5000 0.5000
Th 0.5000 0.0000 0.5000
Th 0.5000 0.5000 0.0000
As 0.2522 0.7478 0.0000
As 0.2550 0.2550 0.5000
As 0.7450 0.7450 0.5000
As 0.7478 0.2522 0.0000